Entry 1:
Diffraction record for NiPt2F11. The powder diffractogram is theoretical, not measured: it uses DFT lattice parameters and positions (GGA+U) and Cu Kα (λ = 1.5418 Å).
Lines closer than 0.1° are merged.

Atomic structure:
```
NiPt2F11
1.0
-4.204 4.750 5.112
4.204 -4.750 5.112
4.204 4.750 -5.112
Ni Pt F
2 4 22
Cartesian
0.000 0.000 2.556 Ni
0.000 0.000 7.668 Ni
5.786 1.330 0.000 Pt
1.582 3.419 0.000 Pt
2.621 1.330 5.112 Pt
-1.582 3.419 5.112 Pt
4.204 0.000 0.000 F
1.549 -0.334 1.362 F
4.899 2.269 -1.419 F
4.899 -2.269 3.693 F
6.858 0.334 1.362 F
2.848 2.036 0.000 F
2.848 -2.036 5.112 F
2.654 4.416 -1.362 F
4.899 2.269 1.419 F
0.695 2.481 1.419 F
1.549 0.334 3.750 F
0.000 4.750 0.000 F
2.654 4.416 1.362 F
3.509 2.269 3.693 F
-0.695 2.481 3.693 F
1.549 0.334 6.474 F
1.356 6.786 0.000 F
1.356 2.714 5.112 F
-2.654 4.416 3.750 F
-0.695 7.018 1.419 F
-0.695 2.481 6.531 F
2.654 5.083 3.750 F
```

Most intense lines, 10 to 90 degrees two-theta, in order of falling intensity:
3.834 Å, intensity 100
5.112 Å, intensity 49
3.968 Å, intensity 30
3.247 Å, intensity 29
3.598 Å, intensity 29
2.630 Å, intensity 27
1.941 Å, intensity 21
2.154 Å, intensity 13
2.554 Å, intensity 13
1.852 Å, intensity 13

=====

Entry 2:
Diffraction record for NiPtF5. The powder diffractogram is theoretical, not measured: it uses DFT lattice parameters and positions (GGA+U) and Cu Kα (λ = 1.5418 Å).
Lines closer than 0.1° are merged.

Atomic structure:
```
NiPtF5
1.0
5.176 0.000 0.000
0.654 5.390 0.000
2.445 2.425 7.284
Ni Pt F
2 2 10
Cartesian
0.000 0.000 0.000 Ni
4.138 3.908 3.642 Ni
0.947 2.761 1.577 Pt
7.328 5.054 5.707 Pt
2.883 3.206 5.311 F
1.489 0.922 0.986 F
2.991 5.608 3.998 F
4.049 6.017 7.125 F
2.953 3.281 2.256 F
5.322 4.534 5.028 F
4.227 1.798 0.159 F
5.284 2.207 3.286 F
6.786 6.893 6.297 F
5.392 4.609 1.973 F
```

Most intense lines, 10 to 90 degrees two-theta, in order of falling intensity:
4.931 Å, intensity 100
5.114 Å, intensity 88
3.374 Å, intensity 48
3.426 Å, intensity 44
3.638 Å, intensity 42
2.248 Å, intensity 39
2.140 Å, intensity 34
2.603 Å, intensity 33
3.675 Å, intensity 23
2.112 Å, intensity 22

=====

Entry 3:
Diffraction record for PuNi2F11. The powder diffractogram is theoretical, not measured: it uses DFT lattice parameters and positions (GGA+U) and Cu Kα (λ = 1.5418 Å).
Lines closer than 0.1° are merged.

Atomic structure:
```
PuNi2F11
1.0
-4.229 4.270 5.249
4.229 -4.270 5.249
4.229 4.270 -5.249
Pu Ni F
2 4 22
Cartesian
0.000 0.000 2.624 Pu
0.000 0.000 7.873 Pu
5.632 1.425 0.000 Ni
1.403 2.845 0.000 Ni
2.826 1.425 5.249 Ni
-1.403 2.845 5.249 Ni
4.229 0.000 0.000 F
4.756 -2.534 3.794 F
1.738 -0.531 1.456 F
4.756 2.534 -1.455 F
2.723 1.532 0.000 F
6.719 0.531 1.456 F
2.491 3.738 -1.456 F
2.723 -1.532 5.249 F
0.527 1.736 1.455 F
1.738 0.531 3.793 F
4.756 2.534 1.455 F
0.000 4.270 0.000 F
-0.527 1.736 3.794 F
2.491 3.738 1.456 F
3.701 2.534 3.794 F
1.506 5.801 0.000 F
1.738 0.531 6.705 F
-2.491 3.738 3.793 F
1.506 2.738 5.249 F
-0.527 1.736 6.704 F
2.491 4.801 3.793 F
-0.527 6.804 1.455 F
```

Most intense lines, 10 to 90 degrees two-theta, in order of falling intensity:
3.953 Å, intensity 100
6.009 Å, intensity 65
1.873 Å, intensity 40
3.312 Å, intensity 32
1.977 Å, intensity 32
3.293 Å, intensity 31
1.881 Å, intensity 17
2.402 Å, intensity 13
2.698 Å, intensity 13
2.677 Å, intensity 13

=====

Copy entry 3 word for word.
Diffraction record for PuNi2F11. The powder diffractogram is theoretical, not measured: it uses DFT lattice parameters and positions (GGA+U) and Cu Kα (λ = 1.5418 Å).
Lines closer than 0.1° are merged.

Atomic structure:
```
PuNi2F11
1.0
-4.229 4.270 5.249
4.229 -4.270 5.249
4.229 4.270 -5.249
Pu Ni F
2 4 22
Cartesian
0.000 0.000 2.624 Pu
0.000 0.000 7.873 Pu
5.632 1.425 0.000 Ni
1.403 2.845 0.000 Ni
2.826 1.425 5.249 Ni
-1.403 2.845 5.249 Ni
4.229 0.000 0.000 F
4.756 -2.534 3.794 F
1.738 -0.531 1.456 F
4.756 2.534 -1.455 F
2.723 1.532 0.000 F
6.719 0.531 1.456 F
2.491 3.738 -1.456 F
2.723 -1.532 5.249 F
0.527 1.736 1.455 F
1.738 0.531 3.793 F
4.756 2.534 1.455 F
0.000 4.270 0.000 F
-0.527 1.736 3.794 F
2.491 3.738 1.456 F
3.701 2.534 3.794 F
1.506 5.801 0.000 F
1.738 0.531 6.705 F
-2.491 3.738 3.793 F
1.506 2.738 5.249 F
-0.527 1.736 6.704 F
2.491 4.801 3.793 F
-0.527 6.804 1.455 F
```

Most intense lines, 10 to 90 degrees two-theta, in order of falling intensity:
3.953 Å, intensity 100
6.009 Å, intensity 65
1.873 Å, intensity 40
3.312 Å, intensity 32
1.977 Å, intensity 32
3.293 Å, intensity 31
1.881 Å, intensity 17
2.402 Å, intensity 13
2.698 Å, intensity 13
2.677 Å, intensity 13